1.
NbIBrCl3: computed powder diffractogram (copper Kα), based on a structure optimized by DFT (PBE).
Peak positions follow from Bragg's law for the DFT cell and can differ from measured ones.

The 10 most intense peaks (2θ from 10° to 90°), by intensity:
Position (°2θ)  I (rel.)  (hkl)
16.23  100  1 0 -1
29.42  89  1 -1 1
19.85  81  0 0 2
31.19  68  1 0 -3
30.54  61  2 2 1
14.03  51  0 1 1
15.31  50  1 1 0
30.86  37  1 2 -1
46.09  31  3 1 2
28.28  30  0 2 2

Structural model:
Unit cell a=6.774 b=7.320 c=9.648 alpha=69.95 beta=89.83 gamma=65.62
Atoms (fractional coordinates):
Nb  0.097  0.288  0.215
Nb  0.903  0.712  0.785
I  0.450  0.914  0.329
I  0.550  0.086  0.671
Br  0.298  0.497  0.243
Br  0.702  0.503  0.757
Cl  0.071  0.683  0.581
Cl  0.113  0.862  0.852
Cl  0.213  0.340  0.955
Cl  0.787  0.660  0.045
Cl  0.887  0.138  0.148
Cl  0.929  0.317  0.419

***

2.
NbI2Br2Cl: computed powder diffractogram (copper Kα), based on a structure optimized by DFT (PBE).
Peak positions follow from Bragg's law for the DFT cell and can differ from measured ones.

The 10 most intense peaks (2θ from 10° to 90°), by intensity:
Position (°2θ)  I (rel.)  (hkl)
29.87  100  1 1 1
29.19  82  1 0 -3
14.33  71  1 0 0
28.60  70  2 -2 1
27.01  53  0 2 -2
20.16  46  0 1 1
13.41  44  0 1 -1
49.52  44  1 -3 5
29.49  34  -1 2 1
44.18  34  -3 2 2

Structural model:
Unit cell a=7.141 b=7.720 c=10.185 alpha=110.79 beta=91.70 gamma=117.18
Atoms (fractional coordinates):
Nb  0.105  0.212  0.212
Nb  0.895  0.788  0.788
I  0.075  0.822  0.567
I  0.126  0.621  0.857
I  0.874  0.379  0.143
I  0.925  0.178  0.433
Br  0.296  0.019  0.241
Br  0.438  0.560  0.321
Br  0.562  0.440  0.679
Br  0.704  0.981  0.759
Cl  0.206  0.160  0.963
Cl  0.794  0.840  0.037

***

3.
NbIBr3Cl: computed powder diffractogram (copper Kα), based on a structure optimized by DFT (PBE).
Peak positions follow from Bragg's law for the DFT cell and can differ from measured ones.

The 10 most intense peaks (2θ from 10° to 90°), by intensity:
Position (°2θ)  I (rel.)  (hkl)
30.18  100  1 1 3
28.85  96  2 0 -1
30.04  94  1 2 -1
14.46  75  1 1 0
13.73  70  0 1 1
27.66  63  0 2 2
37.79  60  -2 1 2
20.37  54  0 1 -1
38.63  49  1 3 0
19.59  48  0 0 2

Structural model:
Unit cell a=7.060 b=7.615 c=9.895 alpha=69.01 beta=89.63 gamma=62.39
Atoms (fractional coordinates):
Nb  0.108  0.286  0.216
Nb  0.892  0.714  0.784
I  0.491  0.882  0.852
I  0.509  0.118  0.148
Br  0.126  0.934  0.325
Br  0.245  0.323  0.426
Br  0.278  0.517  0.756
Br  0.722  0.483  0.244
Br  0.755  0.677  0.574
Br  0.874  0.066  0.675
Cl  0.047  0.663  0.040
Cl  0.953  0.337  0.960

***

4.
Nb3SIBr3Cl3: computed powder diffractogram (copper Kα), based on a structure optimized by DFT (PBE).
Peak positions follow from Bragg's law for the DFT cell and can differ from measured ones.

The 10 most intense peaks (2θ from 10° to 90°), by intensity:
Position (°2θ)  I (rel.)  (hkl)
31.96  100  2 0 1
13.42  76  0 0 1
39.95  59  2 0 2
50.94  25  0 2 3
51.16  22  2 2 0
14.32  21  1 0 0
19.67  18  1 0 1
40.98  15  0 0 3
61.61  14  0 4 1
84.10  10  4 2 1

Structural model:
Unit cell a=7.142 b=7.142 c=6.600 alpha=90.00 beta=90.00 gamma=120.00
Atoms (fractional coordinates):
Nb  0.197  0.395  0.000
Nb  0.197  0.803  0.000
Nb  0.605  0.803  0.000
S  0.333  0.667  0.735
I  0.000  0.000  0.255
Br  0.501  0.001  0.258
Br  0.501  0.499  0.258
Br  0.999  0.499  0.258
Cl  0.328  0.164  0.807
Cl  0.836  0.164  0.807
Cl  0.836  0.672  0.807